This entry pairs a crystal structure of RbSc3F10 with its theoretical powder XRD pattern. Radiation: a wavelength of 1.5418 Å. Structure: a DFT-relaxed cell (PBE, the Materials Project).
Neutral-atom scattering factors, no anomalous dispersion.

Structural model:
```
28
Lattice="6.8320 0.0000 0.0000 0.0000 7.6665 0.0000 0.0000 0.0000 8.1663" Properties=species:S:1:pos:R:3 pbc="T T T"
Rb 0.0604 0.0000 0.0000
Rb 6.7715 0.0000 4.0832
Sc 0.0000 3.7977 2.0416
Sc 0.0000 3.8688 6.1247
Sc 3.4160 1.7233 2.0416
Sc 3.4160 1.8042 6.1247
Sc 3.4160 5.8622 2.0416
Sc 3.4160 5.9432 6.1247
F 0.1315 3.8332 4.0832
F 1.3534 2.2881 2.0056
F 1.3534 5.3784 6.1607
F 1.3623 2.3748 6.2519
F 1.3623 5.2917 1.9145
F 2.2184 0.0410 6.0601
F 2.2184 7.6255 2.1062
F 3.4124 1.7146 4.0830
F 3.4124 5.9519 4.0833
F 3.4160 3.7951 2.0416
F 3.4160 3.8714 6.1247
F 3.4196 1.7146 0.0002
F 3.4196 5.9519 8.1662
F 4.6136 0.0410 6.1894
F 4.6136 7.6255 1.9769
F 5.4697 2.3748 5.9976
F 5.4697 5.2917 2.1687
F 5.4785 2.2881 2.0776
F 5.4785 5.3784 6.0888
F 6.7005 3.8332 0.0000
```

Peak list (12 most intense, 10 to 80 degrees two-theta, most intense first)
two_theta, I/Imax, (hkl)
26.67, 100, 1 2 0
27.99, 55, 1 1 2
26.09, 50, 2 0 0
46.38, 48, 3 2 0
44.37, 41, 0 0 4
25.41, 36, 1 0 2
24.70, 32, 0 1 2
49.85, 32, 2 3 2
21.77, 31, 0 0 2
36.23, 30, 2 1 2
66.13, 28, 3 2 4
52.52, 28, 1 2 4